Computed X-ray diffraction stick pattern
Compound: CoIr5Rh2
Radiation: Cu Kα
Structure: a DFT-relaxed cell (PBE, Alexandria)

Top 10 peaks for 15° ≤ 2θ ≤ 90°, in order of rising 2θ:
4.167 Å, 21.3 deg, rel. 19, (0 0 1)
3.362 Å, 26.5 deg, rel. 25, (1 0 1)
2.544 Å, 35.3 deg, rel. 21, (2 1 0)
2.349 Å, 38.3 deg, rel. 100, (2 0 1)
2.084 Å, 43.4 deg, rel. 26, (0 0 2)
2.012 Å, 45.1 deg, rel. 35, (2 2 0)
1.896 Å, 48.0 deg, rel. 15, (3 0 0)
1.476 Å, 63.0 deg, rel. 16, (3 2 1)
1.447 Å, 64.4 deg, rel. 24, (2 2 2)
1.248 Å, 76.3 deg, rel. 14, (2 0 3)

Structure:
a = 5.6894 Å, b = 5.6894 Å, c = 4.1670 Å
α = 90.00°, β = 90.00°, γ = 90.00°
Element x y z (fractional)
Co1 0.0000 0.0000 0.0000
Ir1 0.0000 0.0000 0.5000
Ir2 0.2893 0.2893 0.0000
Ir3 0.2893 0.7107 0.0000
Ir4 0.7107 0.2893 0.0000
Ir5 0.7107 0.7107 0.0000
Rh1 0.0000 0.5000 0.5000
Rh2 0.5000 0.0000 0.5000